1.
# Li3Ni3Ge2
Theoretical powder diffractogram, λ = 1.5418 Å (Cu Kα). Input: a cell relaxed with GGA-PBE.

Largest 8 diffraction maxima, by intensity, 10° ≤ 2θ ≤ 90°:
d = 2.029 Å, intensity 100, hkl 1 1 0; d = 2.035 Å, intensity 99, hkl 0 1 8; d = 3.315 Å, intensity 70, hkl 0 1 2; d = 1.732 Å, intensity 33, hkl 1 1 6; d = 1.437 Å, intensity 30, hkl 2 0 8; d = 1.173 Å, intensity 30, hkl 1 2 8; d = 6.656 Å, intensity 28, hkl 0 0 3; d = 3.328 Å, intensity 26, hkl 0 0 6

Crystal structure
Unit cell a=4.0576 b=4.0576 c=19.9684 alpha=90.00 beta=90.00 gamma=120.00
Space group R3m (No. 160, hexagonal axes)
Inequivalent atoms, fractional coordinates:
1 Li 0.0000 0.0000 0.0000 [3 per cell]
2 Li 0.0000 0.0000 0.1249 [3 per cell]
3 Li 0.0000 0.0000 0.6283 [3 per cell]
4 Ni 0.0000 0.0000 0.2485 [3 per cell]
5 Ni 0.0000 0.0000 0.5028 [3 per cell]
6 Ni 0.0000 0.0000 0.7533 [3 per cell]
7 Ge 0.0000 0.0000 0.3793 [3 per cell]
8 Ge 0.0000 0.0000 0.8733 [3 per cell]

---

2.
# Li3Ni2Ge2
Theoretical powder diffractogram, λ = 1.5418 Å (Cu Kα). Input: a cell relaxed with GGA-PBE.

Largest 8 diffraction maxima, by intensity, 10° ≤ 2θ ≤ 90°:
d = 3.484 Å, intensity 100, hkl 1 0 1; d = 2.047 Å, intensity 96, hkl 1 1 0; d = 2.141 Å, intensity 83, hkl 1 0 7; d = 6.267 Å, intensity 49, hkl 0 0 3; d = 3.134 Å, intensity 39, hkl 0 0 6; d = 1.714 Å, intensity 39, hkl 1 1 6; d = 1.479 Å, intensity 24, hkl 0 2 7; d = 1.199 Å, intensity 23, hkl 2 1 7

Crystal structure
Unit cell a=4.0933 b=4.0933 c=18.8020 alpha=90.00 beta=90.00 gamma=120.00
Space group R-3m (No. 166, hexagonal axes)
Inequivalent atoms, fractional coordinates:
1 Li 0.0000 0.0000 0.0000 [3 per cell]
2 Li 0.0000 0.0000 0.1419 [6 per cell]
3 Ni 0.0000 0.0000 0.2832 [6 per cell]
4 Ge 0.0000 0.0000 0.4119 [6 per cell]

---

3.
# Li3NiGe4
Theoretical powder diffractogram, λ = 1.5418 Å (Cu Kα). Input: a cell relaxed with GGA-PBE.

Largest 8 diffraction maxima, by intensity, 10° ≤ 2θ ≤ 90°:
d = 3.858 Å, intensity 100, hkl 1 0 1; d = 1.985 Å, intensity 86, hkl 1 2 3; d = 2.694 Å, intensity 47, hkl 1 0 3; d = 2.571 Å, intensity 30, hkl 0 2 2; d = 2.070 Å, intensity 30, hkl 2 0 0; d = 2.936 Å, intensity 22, hkl 0 2 0; d = 1.428 Å, intensity 19, hkl 1 0 7; d = 2.855 Å, intensity 19, hkl 1 1 2

Crystal structure
Unit cell a=4.140 b=5.871 c=10.647 alpha=90.00 beta=90.00 gamma=90.00
Space group Immm (No. 71)
Inequivalent atoms, fractional coordinates:
1 Li 0.000 0.000 0.000 [2 per cell]
2 Li 0.000 0.500 0.127 [4 per cell]
3 Ni 0.000 0.000 0.500 [2 per cell]
4 Ge 0.000 0.280 0.338 [8 per cell]

---

4.
# Li4Np3GeSe8
Theoretical powder diffractogram, λ = 1.5418 Å (Cu Kα). Input: a cell relaxed with GGA-PBE.

Largest 8 diffraction maxima, by intensity, 10° ≤ 2θ ≤ 90°:
d = 2.854 Å, intensity 100, hkl 0 2 4; d = 6.415 Å, intensity 60, hkl 0 0 3; d = 3.487 Å, intensity 46, hkl 0 2 1; d = 2.047 Å, intensity 39, hkl 2 2 0; d = 1.991 Å, intensity 36, hkl 2 0 8; d = 2.608 Å, intensity 22, hkl 2 0 5; d = 1.663 Å, intensity 20, hkl 4 0 4; d = 1.950 Å, intensity 18, hkl 2 2 3

Crystal structure
Unit cell a=8.1880 b=8.1880 c=19.2457 alpha=90.00 beta=90.00 gamma=120.00
Space group R-3m (No. 166, hexagonal axes)
Inequivalent atoms, fractional coordinates:
1 Li 0.0000 0.0000 0.0000 [3 per cell]
2 Li 0.0000 0.5000 0.0000 [9 per cell]
3 Np 0.0000 0.5000 0.5000 [9 per cell]
4 Ge 0.0000 0.0000 0.5000 [3 per cell]
5 Se 0.0000 0.0000 0.2523 [6 per cell]
6 Se 0.0008 0.5004 0.2502 [18 per cell]

---

5.
# Li6Ge2O7
Theoretical powder diffractogram, λ = 1.5418 Å (Cu Kα). Input: a cell relaxed with GGA-PBE.

Largest 8 diffraction maxima, by intensity, 10° ≤ 2θ ≤ 90°:
d = 4.307 Å, intensity 100, hkl 0 1 2; d = 4.234 Å, intensity 46, hkl 1 0 2; d = 3.468 Å, intensity 27, hkl 2 0 -4; d = 2.746 Å, intensity 24, hkl 2 1 1; d = 2.685 Å, intensity 21, hkl 0 2 0; d = 4.486 Å, intensity 20, hkl 1 1 -1; d = 2.701 Å, intensity 20, hkl 3 0 -2; d = 2.626 Å, intensity 19, hkl 2 0 -6

Crystal structure
Unit cell a=8.177 b=5.370 c=16.151 alpha=90.00 beta=117.20 gamma=90.00
Space group P2_1/c (No. 14)
Inequivalent atoms, fractional coordinates:
1 Li 0.008 0.194 0.457 [4 per cell]
2 Li 0.126 0.668 0.256 [4 per cell]
3 Li 0.179 0.014 0.379 [4 per cell]
4 Li 0.260 0.647 0.484 [4 per cell]
5 Li 0.347 0.129 0.884 [4 per cell]
6 Li 0.399 0.710 0.196 [4 per cell]
7 Ge 0.156 0.173 0.170 [4 per cell]
8 Ge 0.439 0.149 0.587 [4 per cell]
9 O 0.020 0.676 0.928 [4 per cell]
10 O 0.130 0.229 0.768 [4 per cell]
11 O 0.161 0.652 0.660 [4 per cell]
12 O 0.268 0.221 0.983 [4 per cell]
13 O 0.338 0.730 0.380 [4 per cell]
14 O 0.381 0.207 0.685 [4 per cell]
15 O 0.442 0.677 0.089 [4 per cell]

---

6.
# Li4Ge9O20
Theoretical powder diffractogram, λ = 1.5418 Å (Cu Kα). Input: a cell relaxed with GGA-PBE.

Largest 8 diffraction maxima, by intensity, 10° ≤ 2θ ≤ 90°:
d = 5.087 Å, intensity 100, hkl 1 1 -1; d = 4.827 Å, intensity 79, hkl 2 0 1; d = 2.770 Å, intensity 78, hkl 0 2 2; d = 4.049 Å, intensity 68, hkl 0 2 0; d = 2.923 Å, intensity 40, hkl 4 0 -1; d = 2.493 Å, intensity 37, hkl 1 3 1; d = 2.302 Å, intensity 34, hkl 5 1 -1; d = 3.116 Å, intensity 32, hkl 2 2 -1

Crystal structure
Unit cell a=12.612 b=8.098 c=7.598 alpha=90.00 beta=90.61 gamma=90.00
Space group C2 (No. 5)
Inequivalent atoms, fractional coordinates:
1 Li 0.000 0.000 0.000 [2 per cell]
2 Li 0.000 0.385 0.000 [2 per cell]
3 Li 0.206 0.808 0.619 [4 per cell]
4 Ge 0.000 0.435 0.500 [2 per cell]
5 Ge 0.095 0.083 0.331 [4 per cell]
6 Ge 0.100 0.686 0.240 [4 per cell]
7 Ge 0.151 0.168 0.710 [4 per cell]
8 Ge 0.236 0.512 0.951 [4 per cell]
9 O 0.006 0.197 0.786 [4 per cell]
10 O 0.011 0.573 0.682 [4 per cell]
11 O 0.067 0.893 0.201 [4 per cell]
12 O 0.112 0.999 0.545 [4 per cell]
13 O 0.113 0.591 0.030 [4 per cell]
14 O 0.117 0.311 0.499 [4 per cell]
15 O 0.174 0.991 0.870 [4 per cell]
16 O 0.192 0.316 0.885 [4 per cell]
17 O 0.208 0.668 0.387 [4 per cell]
18 O 0.221 0.136 0.231 [4 per cell]

---

Number 4 is which compound? Li4Np3GeSe8